[1]
Structure and theoretical powder diffraction line list of Na8Si7O18 (the PBE geometry in the Materials Project; Cu Kα X-rays).
No peak broadening, texture or thermal motion is included.

Structural model:
```
data_Na8Si7O18
_chemical_formula_sum 'Na8 Si7 O18'
_symmetry_space_group_name_H-M 'P 1'
_symmetry_Int_Tables_number 1
_symmetry_space_group_name_Hall 'P 1'
_cell_length_a 6.082
_cell_length_b 7.744
_cell_length_c 11.689
_cell_angle_alpha 102.53
_cell_angle_beta 102.64
_cell_angle_gamma 91.41
loop_
_atom_site_label
_atom_site_type_symbol
_atom_site_fract_x
_atom_site_fract_y
_atom_site_fract_z
Na1 Na 0.000 0.000 0.000
Na2 Na 0.020 0.621 0.830
Na3 Na 0.125 0.500 0.529
Na4 Na 0.194 0.588 0.130
Na5 Na 0.240 0.284 0.298
Na6 Na 0.598 0.368 0.025
Na7 Na 0.732 0.308 0.563
Na8 Na 0.767 0.036 0.218
Si1 Si 0.211 0.884 0.387
Si2 Si 0.319 0.965 0.796
Si3 Si 0.348 0.309 0.729
Si4 Si 0.390 0.952 0.598
Si5 Si 0.558 0.660 0.444
Si6 Si 0.569 0.730 0.960
Si7 Si 0.758 0.418 0.293
O1 O 0.078 0.910 0.811
O2 O 0.108 0.382 0.690
O3 O 0.131 0.997 0.294
O4 O 0.339 0.659 0.984
O5 O 0.355 0.719 0.337
O6 O 0.384 0.191 0.834
O7 O 0.427 0.171 0.612
O8 O 0.465 0.494 0.484
O9 O 0.509 0.369 0.208
O10 O 0.533 0.877 0.870
O11 O 0.559 0.473 0.757
O12 O 0.605 0.848 0.554
O13 O 0.686 0.545 0.885
O14 O 0.784 0.630 0.386
O15 O 0.789 0.802 0.066
O16 O 0.863 0.293 0.383
O17 O 0.924 0.259 0.124
O18 O 0.943 0.445 0.205
```

Top 10 peaks for 2θ = 10–90°, by angle:
h k l	2θ (°)	I/Imax
0 1 0	11.74	51
1 0 0	14.97	58
1 0 -1	15.26	100
0 1 -2	17.55	97
1 0 1	18.54	57
1 1 -1	18.87	99
0 1 2	21.94	74
1 -1 2	24.92	54
1 2 -2	28.56	46
-1 1 4	36.65	55

***

[2]
Structure and theoretical powder diffraction line list of BiTe2Br4 (the PBE geometry in the Materials Project; Cu Kα X-rays).
No peak broadening, texture or thermal motion is included.

Structural model:
```
data_BiTe2Br4
_chemical_formula_sum 'Bi2 Te4 Br8'
_symmetry_space_group_name_H-M 'P -1'
_symmetry_Int_Tables_number 2
_symmetry_space_group_name_Hall '-P 1'
_cell_length_a 7.514
_cell_length_b 8.044
_cell_length_c 9.363
_cell_angle_alpha 91.57
_cell_angle_beta 102.76
_cell_angle_gamma 94.76
loop_
_atom_site_label
_atom_site_type_symbol
_atom_site_fract_x
_atom_site_fract_y
_atom_site_fract_z
Bi1 Bi 0.213 0.415 0.387
Te1 Te 0.282 0.859 0.012
Te2 Te 0.384 0.047 0.802
Br1 Br 0.042 0.089 0.311
Br2 Br 0.118 0.434 0.697
Br3 Br 0.291 0.429 0.119
Br4 Br 0.447 0.743 0.460
```

Top 10 peaks for 2θ = 10–90°, by angle:
h k l	2θ (°)	I/Imax
0 1 -1	14.37	41
-1 1 1	17.22	100
1 0 -2	20.52	23
1 -2 0	24.37	22
-1 2 1	25.63	19
2 -1 0	25.89	24
1 2 0	26.35	33
1 0 -3	29.18	54
2 -1 1	29.44	49
1 3 0	36.86	30

***

[3]
Structure and theoretical powder diffraction line list of ZrS2O13 (the PBE geometry in the Materials Project; Cu Kα X-rays).
No peak broadening, texture or thermal motion is included.

Structural model:
```
data_ZrS2O13
_chemical_formula_sum 'Zr2 S4 O26'
_symmetry_space_group_name_H-M 'P -1'
_symmetry_Int_Tables_number 2
_symmetry_space_group_name_Hall '-P 1'
_cell_length_a 7.866
_cell_length_b 8.035
_cell_length_c 8.942
_cell_angle_alpha 79.81
_cell_angle_beta 88.49
_cell_angle_gamma 79.27
loop_
_atom_site_label
_atom_site_type_symbol
_atom_site_fract_x
_atom_site_fract_y
_atom_site_fract_z
Zr1 Zr 0.227 0.092 0.189
S1 S 0.092 0.165 0.802
S2 S 0.471 0.315 0.193
O1 O 0.003 0.967 0.243
O2 O 0.009 0.704 0.731
O3 O 0.026 0.670 0.202
O4 O 0.029 0.689 0.586
O5 O 0.157 0.090 0.961
O6 O 0.172 0.611 0.549
O7 O 0.235 0.188 0.698
O8 O 0.265 0.920 0.398
O9 O 0.313 0.333 0.092
O10 O 0.369 0.715 0.893
O11 O 0.415 0.888 0.179
O12 O 0.449 0.154 0.308
O13 O 0.464 0.459 0.273
```

Top 10 peaks for 2θ = 10–90°, by angle:
h k l	2θ (°)	I/Imax
0 0 1	10.05	31
0 1 0	11.39	79
1 0 1	15.31	38
0 1 -1	16.48	37
1 -1 0	17.61	38
-1 1 1	19.25	100
0 0 2	20.18	63
2 1 0	23.70	40
1 -1 2	28.47	30
2 2 0	29.44	27

***

[4]
Structure and theoretical powder diffraction line list of SrCaTbBiO6 (the PBE geometry in the Materials Project; Cu Kα X-rays).
No peak broadening, texture or thermal motion is included.

Structural model:
```
data_SrCaTbBiO6
_chemical_formula_sum 'Sr2 Ca2 Tb2 Bi2 O12'
_symmetry_space_group_name_H-M 'P -1'
_symmetry_Int_Tables_number 2
_symmetry_space_group_name_Hall '-P 1'
_cell_length_a 5.871
_cell_length_b 6.039
_cell_length_c 8.417
_cell_angle_alpha 89.98
_cell_angle_beta 89.83
_cell_angle_gamma 89.87
loop_
_atom_site_label
_atom_site_type_symbol
_atom_site_fract_x
_atom_site_fract_y
_atom_site_fract_z
Sr1 Sr 0.011 0.051 0.250
Ca1 Ca 0.486 0.549 0.248
Tb1 Tb 0.000 0.500 0.000
Tb2 Tb 0.500 0.000 0.500
Bi1 Bi 0.000 0.500 0.500
Bi2 Bi 0.500 0.000 0.000
O1 O 0.120 0.534 0.741
O2 O 0.190 0.792 0.446
O3 O 0.205 0.804 0.051
O4 O 0.296 0.308 0.436
O5 O 0.315 0.296 0.063
O6 O 0.402 0.059 0.758
```

Top 10 peaks for 2θ = 10–90°, by angle:
h k l	2θ (°)	I/Imax
1 1 0	21.11	73
0 2 0	29.59	33
1 -1 2	30.01	100
-1 1 2	30.07	34
2 0 0	30.45	31
0 0 4	42.95	33
2 -2 0	43.03	16
1 3 -2	52.75	19
0 2 4	53.04	16
3 1 -2	53.85	16

***

[5]
Structure and theoretical powder diffraction line list of RbBi (the PBE geometry in the Materials Project; Cu Kα X-rays).
No peak broadening, texture or thermal motion is included.

Structural model:
```
data_RbBi
_chemical_formula_sum 'Rb16 Bi16'
_symmetry_space_group_name_H-M 'P 1 21/c 1'
_symmetry_Int_Tables_number 14
_symmetry_space_group_name_Hall '-P 2ybc'
_cell_length_a 15.148
_cell_length_b 7.659
_cell_length_c 14.225
_cell_angle_alpha 90.00
_cell_angle_beta 113.22
_cell_angle_gamma 90.00
loop_
_atom_site_label
_atom_site_type_symbol
_atom_site_fract_x
_atom_site_fract_y
_atom_site_fract_z
Rb1 Rb 0.104 0.195 0.465
Rb2 Rb 0.157 0.577 0.690
Rb3 Rb 0.352 0.642 0.050
Rb4 Rb 0.375 0.117 0.855
Bi1 Bi 0.073 0.701 0.380
Bi2 Bi 0.102 0.066 0.730
Bi3 Bi 0.397 0.126 0.137
Bi4 Bi 0.429 0.633 0.814
```

Top 10 peaks for 2θ = 10–90°, by angle:
h k l	2θ (°)	I/Imax
2 0 0	12.72	94
0 0 2	13.55	65
2 1 -1	16.55	67
0 1 2	17.84	76
2 0 -4	25.13	67
4 0 0	25.60	97
4 1 -1	26.46	73
2 1 -4	27.73	100
2 2 1	28.70	75
4 2 -3	34.91	70

***

What did the second record say?
Structure and theoretical powder diffraction line list of BiTe2Br4 (the PBE geometry in the Materials Project; Cu Kα X-rays).
No peak broadening, texture or thermal motion is included.

Structural model:
```
data_BiTe2Br4
_chemical_formula_sum 'Bi2 Te4 Br8'
_symmetry_space_group_name_H-M 'P -1'
_symmetry_Int_Tables_number 2
_symmetry_space_group_name_Hall '-P 1'
_cell_length_a 7.514
_cell_length_b 8.044
_cell_length_c 9.363
_cell_angle_alpha 91.57
_cell_angle_beta 102.76
_cell_angle_gamma 94.76
loop_
_atom_site_label
_atom_site_type_symbol
_atom_site_fract_x
_atom_site_fract_y
_atom_site_fract_z
Bi1 Bi 0.213 0.415 0.387
Te1 Te 0.282 0.859 0.012
Te2 Te 0.384 0.047 0.802
Br1 Br 0.042 0.089 0.311
Br2 Br 0.118 0.434 0.697
Br3 Br 0.291 0.429 0.119
Br4 Br 0.447 0.743 0.460
```

Top 10 peaks for 2θ = 10–90°, by angle:
h k l	2θ (°)	I/Imax
0 1 -1	14.37	41
-1 1 1	17.22	100
1 0 -2	20.52	23
1 -2 0	24.37	22
-1 2 1	25.63	19
2 -1 0	25.89	24
1 2 0	26.35	33
1 0 -3	29.18	54
2 -1 1	29.44	49
1 3 0	36.86	30